# K2NiPCO7
Computed X-ray powder pattern, λ = 1.5418 Å (Cu Kα). Input: a GGA+U-relaxed structure.

Top 10 peaks for 2θ = 10–80°, in order of rising 2θ:
2θ/deg  I/Imax
15.7  48
18.3  22
20.6  40
24.3  35
25.6  24
31.7  100
31.9  87
32.7  51
40.0  29
52.7  30

Cell and atoms:
Unit cell a=5.483 b=6.953 c=9.678 alpha=90.00 beta=91.13 gamma=90.00
Element x y z (fractional)
K 0.247 0.025 0.250
K 0.247 0.475 0.250
K 0.753 0.525 0.750
K 0.753 0.975 0.750
Ni 0.280 0.250 0.639
Ni 0.720 0.750 0.361
P 0.221 0.750 0.569
P 0.779 0.250 0.431
C 0.240 0.250 0.896
C 0.760 0.750 0.104
O 0.054 0.250 0.810
O 0.057 0.250 0.473
O 0.217 0.250 0.025
O 0.273 0.568 0.658
O 0.273 0.932 0.658
O 0.379 0.750 0.437
O 0.450 0.250 0.836
O 0.550 0.750 0.164
O 0.621 0.250 0.563
O 0.727 0.068 0.342
O 0.727 0.432 0.342
O 0.783 0.750 0.975
O 0.943 0.750 0.527
O 0.946 0.750 0.190